Entry 1:
Simulated X-ray powder pattern of CaAl2Si6H4O16 for Cu Kα (λ = 1.5418 Å), from DFT lattice parameters and positions (PBE).
Intensities are scaled so that the largest is 100.

Crystal structure
a b c (Å): 6.898 14.032 10.177
angles (deg): 90.00 111.61 90.00
Element x y z (fractional)
Ca  0.000  0.212  0.000
Ca  0.000  0.788  0.500
Al  0.065  0.007  0.444
Al  0.065  0.993  0.944
Al  0.669  0.356  0.794
Al  0.669  0.644  0.294
Si  0.039  0.473  0.005
Si  0.039  0.527  0.505
Si  0.325  0.500  0.324
Si  0.325  0.500  0.824
Si  0.351  0.039  0.252
Si  0.351  0.961  0.752
Si  0.652  0.124  0.749
Si  0.652  0.876  0.249
Si  0.703  0.374  0.484
Si  0.703  0.626  0.984
Si  0.723  0.150  0.461
Si  0.723  0.850  0.961
H  0.092  0.256  0.282
H  0.092  0.744  0.782
H  0.163  0.233  0.805
H  0.163  0.767  0.305
H  0.385  0.293  0.117
H  0.385  0.707  0.617
H  0.706  0.144  0.087
H  0.706  0.856  0.587
O  0.138  0.468  0.177
O  0.138  0.532  0.677
O  0.208  0.042  0.346
O  0.208  0.958  0.846
O  0.210  0.071  0.089
O  0.210  0.929  0.589
O  0.226  0.481  0.945
O  0.226  0.519  0.445
O  0.448  0.069  0.755
O  0.448  0.406  0.808
O  0.448  0.594  0.308
O  0.448  0.931  0.255
O  0.477  0.407  0.369
O  0.477  0.593  0.869
O  0.548  0.113  0.310
O  0.548  0.887  0.810
O  0.635  0.124  0.586
O  0.635  0.876  0.086
O  0.669  0.231  0.816
O  0.669  0.769  0.316
O  0.714  0.387  0.643
O  0.714  0.613  0.143
O  0.740  0.264  0.447
O  0.740  0.736  0.947
O  0.873  0.079  0.856
O  0.873  0.921  0.356
O  0.883  0.437  0.453
O  0.883  0.563  0.953
O  0.909  0.373  0.947
O  0.909  0.627  0.447
O  0.946  0.102  0.493
O  0.946  0.898  0.993

Most intense lines, 2θ from 10° to 90°, low angle first:
d 7.845, 2θ 11.3, I 13
d 7.016, 2θ 12.6, I 38
d 6.413, 2θ 13.8, I 7
d 5.931, 2θ 14.9, I 52
d 4.731, 2θ 18.8, I 100
d 4.482, 2θ 19.8, I 11
d 4.356, 2θ 20.4, I 12
d 3.273, 2θ 27.2, I 25
d 3.078, 2θ 29.0, I 31
d 2.966, 2θ 30.1, I 11
d 2.692, 2θ 33.3, I 9
d 1.919, 2θ 47.4, I 7

Entry 2:
Simulated X-ray powder pattern of CaAl2Si3H6O13 for Cu Kα (λ = 1.5418 Å), from DFT lattice parameters and positions (PBE).
Intensities are scaled so that the largest is 100.

Crystal structure
a b c (Å): 10.074 10.074 9.911
angles (deg): 95.69 95.69 141.70
Element x y z (fractional)
Ca  0.106  0.894  0.500
Ca  0.894  0.106  0.000
Al  0.043  0.470  0.536
Al  0.142  0.208  0.373
Al  0.208  0.142  0.873
Al  0.470  0.043  0.036
Si  0.065  0.726  0.773
Si  0.140  0.977  0.138
Si  0.476  0.715  0.439
Si  0.715  0.476  0.939
Si  0.726  0.065  0.273
Si  0.977  0.140  0.638
H  0.027  0.643  0.223
H  0.178  0.691  0.354
H  0.190  0.558  0.972
H  0.308  0.619  0.127
H  0.524  0.699  0.781
H  0.541  0.598  0.882
H  0.558  0.190  0.472
H  0.598  0.541  0.382
H  0.619  0.308  0.627
H  0.643  0.027  0.723
H  0.691  0.178  0.854
H  0.699  0.524  0.281
O  0.033  0.625  0.616
O  0.045  0.143  0.795
O  0.067  0.362  0.646
O  0.079  0.120  0.530
O  0.102  0.714  0.324
O  0.120  0.079  0.030
O  0.141  0.939  0.759
O  0.143  0.045  0.295
O  0.171  0.494  0.048
O  0.240  0.794  0.897
O  0.278  0.650  0.470
O  0.362  0.067  0.146
O  0.401  0.498  0.405
O  0.494  0.171  0.548
O  0.498  0.401  0.905
O  0.535  0.813  0.300
O  0.580  0.724  0.879
O  0.625  0.033  0.116
O  0.650  0.278  0.970
O  0.699  0.910  0.578
O  0.714  0.102  0.824
O  0.724  0.580  0.379
O  0.794  0.240  0.397
O  0.813  0.535  0.800
O  0.910  0.699  0.078
O  0.939  0.141  0.259

Most intense lines, 2θ from 10° to 90°, low angle first:
d 6.705, 2θ 13.2, I 52
d 5.981, 2θ 14.8, I 100
d 4.758, 2θ 18.6, I 32
d 4.724, 2θ 18.8, I 27
d 4.503, 2θ 19.7, I 39
d 4.424, 2θ 20.1, I 32
d 4.244, 2θ 20.9, I 23
d 2.990, 2θ 29.9, I 46
d 2.944, 2θ 30.4, I 63
d 2.902, 2θ 30.8, I 54
d 2.882, 2θ 31.0, I 51
d 2.235, 2θ 40.4, I 22

Entry 3:
Simulated X-ray powder pattern of CaAl2Si4H2O12 for Cu Kα (λ = 1.5418 Å), from DFT lattice parameters and positions (PBE).
Intensities are scaled so that the largest is 100.

Crystal structure
a b c (Å): 10.043 10.043 7.587
angles (deg): 105.90 105.90 83.46
Element x y z (fractional)
Ca  0.245  0.245  0.244
Ca  0.755  0.755  0.756
Al  0.067  0.679  0.770
Al  0.321  0.933  0.230
Al  0.680  0.065  0.761
Al  0.935  0.320  0.239
Si  0.034  0.801  0.177
Si  0.126  0.358  0.663
Si  0.199  0.966  0.823
Si  0.358  0.122  0.656
Si  0.642  0.874  0.337
Si  0.801  0.034  0.174
Si  0.878  0.642  0.344
Si  0.966  0.199  0.826
H  0.253  0.521  0.254
H  0.479  0.747  0.746
H  0.489  0.267  0.149
H  0.733  0.511  0.851
O  0.009  0.696  0.295
O  0.028  0.265  0.057
O  0.052  0.052  0.765
O  0.091  0.330  0.430
O  0.152  0.519  0.767
O  0.177  0.803  0.782
O  0.197  0.823  0.218
O  0.267  0.264  0.731
O  0.270  0.030  0.052
O  0.304  0.991  0.705
O  0.329  0.088  0.423
O  0.481  0.848  0.233
O  0.518  0.148  0.757
O  0.670  0.909  0.570
O  0.693  0.005  0.285
O  0.735  0.972  0.943
O  0.736  0.733  0.269
O  0.803  0.178  0.775
O  0.822  0.197  0.225
O  0.852  0.482  0.243
O  0.912  0.671  0.577
O  0.948  0.948  0.235
O  0.970  0.730  0.948
O  0.995  0.307  0.715

Most intense lines, 2θ from 10° to 90°, low angle first:
d 6.972, 2θ 12.7, I 100
d 6.234, 2θ 14.2, I 52
d 5.111, 2θ 17.4, I 26
d 4.825, 2θ 18.4, I 24
d 4.245, 2θ 20.9, I 60
d 3.713, 2θ 24.0, I 52
d 3.529, 2θ 25.2, I 90
d 3.470, 2θ 25.7, I 22
d 3.382, 2θ 26.4, I 22
d 3.342, 2θ 26.7, I 22
d 3.254, 2θ 27.4, I 20
d 3.091, 2θ 28.9, I 24